No. 1
This entry pairs a crystal structure of Pr5Ir2Pd2 with its calculated PXRD pattern. Radiation: Cu Kα X-rays. Structure: the GGA-PBE geometry in Alexandria.
Peak positions follow from Bragg's law for the DFT cell and can differ from measured ones.

Structural model:
```
data_Pr5Ir2Pd2
_space_group_name_H-M_alt 'C m c e'
_space_group_IT_number 64
_space_group_name_Hall '-C 2ac 2'
_cell_length_a 15.085
_cell_length_b 7.909
_cell_length_c 7.850
_cell_angle_alpha 90.00
_cell_angle_beta 90.00
_cell_angle_gamma 90.00
loop_
_atom_site_label
_atom_site_type_symbol
_atom_site_fract_x
_atom_site_fract_y
_atom_site_fract_z
Pr1 Pr 0.000 0.000 0.000
Pr2 Pr 0.132 0.173 0.333
Ir1 Ir 0.000 0.130 0.629
Pd1 Pd 0.206 0.000 0.000
```

Peak list (10 most intense, 10° ≤ 2θ ≤ 90°, by angle)
| 2θ (°) | I/Imax | index |
| --- | --- | --- |
| 11.7 | 49 | 2 0 0 |
| 27.9 | 33 | 2 2 1 |
| 31.0 | 100 | 3 1 2 |
| 32.1 | 32 | 0 2 2 |
| 32.8 | 31 | 4 2 0 |
| 32.9 | 27 | 4 0 2 |
| 34.8 | 87 | 4 2 1 |
| 36.4 | 59 | 1 3 1 |
| 36.7 | 55 | 1 1 3 |
| 39.4 | 35 | 5 1 2 |

***

No. 2
This entry pairs a crystal structure of ErNiP2 with its calculated PXRD pattern. Radiation: Cu Kα X-rays. Structure: the GGA-PBE geometry in Alexandria.
Peak positions follow from Bragg's law for the DFT cell and can differ from measured ones.

Structural model:
```
data_ErNiP2
_space_group_name_H-M_alt 'F m m 2'
_space_group_IT_number 42
_space_group_name_Hall 'F 2 -2'
_cell_length_a 5.257
_cell_length_b 18.699
_cell_length_c 5.290
_cell_angle_alpha 90.00
_cell_angle_beta 90.00
_cell_angle_gamma 90.00
loop_
_atom_site_label
_atom_site_type_symbol
_atom_site_fract_x
_atom_site_fract_y
_atom_site_fract_z
Er1 Er 0.000 0.118 0.000
Ni1 Ni 0.250 0.250 0.249
P1 P 0.000 0.180 0.499
P2 P 0.218 0.000 0.721
```

Peak list (10 most intense, 10° ≤ 2θ ≤ 90°, by angle)
| 2θ (°) | I/Imax | index |
| --- | --- | --- |
| 24.3 | 89 | 1 1 1 |
| 27.9 | 28 | 1 3 1 |
| 33.9 | 100 | 1 5 1 |
| 38.5 | 29 | 0 8 0 |
| 39.1 | 77 | 0 4 2 |
| 39.3 | 75 | 2 4 0 |
| 48.8 | 48 | 2 0 2 |
| 50.3 | 33 | 1 9 1 |
| 63.9 | 25 | 2 8 2 |
| 84.6 | 21 | 2 4 4 |

***

No. 3
This entry pairs a crystal structure of PaInSb with its calculated PXRD pattern. Radiation: Cu Kα X-rays. Structure: the GGA-PBE geometry in Alexandria.
Peak positions follow from Bragg's law for the DFT cell and can differ from measured ones.

Structural model:
```
data_PaInSb
_space_group_name_H-M_alt 'C m c m'
_space_group_IT_number 63
_space_group_name_Hall '-C 2c 2'
_cell_length_a 4.304
_cell_length_b 16.268
_cell_length_c 4.455
_cell_angle_alpha 90.00
_cell_angle_beta 90.00
_cell_angle_gamma 90.00
loop_
_atom_site_label
_atom_site_type_symbol
_atom_site_fract_x
_atom_site_fract_y
_atom_site_fract_z
Pa1 Pa 0.000 0.090 0.250
In1 In 0.000 0.246 0.750
Sb1 Sb 0.000 0.422 0.250
```

Peak list (10 most intense, 10° ≤ 2θ ≤ 90°, by angle)
| 2θ (°) | I/Imax | index |
| --- | --- | --- |
| 33.0 | 25 | 0 6 0 |
| 33.3 | 100 | 1 3 1 |
| 40.5 | 15 | 0 0 2 |
| 42.0 | 14 | 2 0 0 |
| 53.2 | 13 | 0 6 2 |
| 54.4 | 12 | 2 6 0 |
| 59.2 | 18 | 1 9 1 |
| 69.1 | 12 | 1 3 3 |
| 70.0 | 11 | 2 6 2 |
| 71.2 | 11 | 3 3 1 |